(1)
Li2Zn8Cu3: theoretical PXRD pattern (a wavelength of 1.5418 Å), based on a GGA-PBE-relaxed structure.
No peak broadening, texture or thermal motion is included.

Principal peaks in the range 2θ from 5° to 70°, in order of rising 2θ:
d_spacing  2θ (°)  I (rel.)  hkl
6.823  12.98  65.0  0 2 0
2.607  34.40  32.0  2 0 1
2.174  41.53  75.3  1 5 1
2.157  41.88  35.2  3 1 0
2.152  41.98  58.4  0 0 2
2.072  43.70  100.0  2 4 1
2.011  45.09  24.3  0 6 1
1.524  60.79  21.8  3 1 2

Structure:
a b c (Å): 6.5538 13.6459 4.3044
angles (deg): 90.00 90.00 90.00
Space group Cmmm (No. 65)
Symmetry-distinct sites (fractional):
Li1 0.0000 0.2228 0.0000 [4 per cell]
Zn1 0.0000 0.1217 0.5000 [4 per cell]
Zn2 0.0000 0.3241 0.5000 [4 per cell]
Zn3 0.1914 0.3968 0.0000 [8 per cell]
Cu1 0.0000 0.0000 0.0000 [2 per cell]
Cu2 0.1952 0.5000 0.5000 [4 per cell]

(2)
Ti4InRe: theoretical PXRD pattern (a wavelength of 1.5418 Å), based on a GGA-PBE-relaxed structure.
No peak broadening, texture or thermal motion is included.

Principal peaks in the range 2θ from 5° to 70°, in order of rising 2θ:
d_spacing  2θ (°)  I (rel.)  hkl
3.639  24.46  100.0  1 1 -1
3.558  25.03  29.4  0 0 2
2.235  40.35  69.4  0 2 0
2.197  41.08  58.8  2 0 2
1.905  47.75  16.5  4 0 -2
1.893  48.05  20.3  3 1 1
1.869  48.71  16.4  2 0 -4
1.567  58.95  19.5  2 2 2

Structure:
a b c (Å): 7.7530 4.4639 7.5669
angles (deg): 90.00 109.89 90.00
Space group C2/m (No. 12)
Symmetry-distinct sites (fractional):
Ti1 0.1138 0.0000 0.3393 [4 per cell]
Ti2 0.1345 0.5000 0.9040 [4 per cell]
In1 0.0000 0.5000 0.5000 [2 per cell]
Re1 0.0000 0.0000 0.0000 [2 per cell]

(3)
LiY2Be: theoretical PXRD pattern (a wavelength of 1.5418 Å), based on a GGA-PBE-relaxed structure.
No peak broadening, texture or thermal motion is included.

Principal peaks in the range 2θ from 5° to 70°, in order of rising 2θ:
d_spacing  2θ (°)  I (rel.)  hkl
7.253  12.20  41.6  0 0 1
3.177  28.09  100.0  1 0 1
2.531  35.47  57.9  1 0 2
2.499  35.94  40.1  1 1 0
2.418  37.19  16.0  0 0 3
1.737  52.68  22.8  1 1 3
1.544  59.91  22.3  2 1 1
1.449  64.30  20.8  2 1 2

Structure:
a b c (Å): 3.5335 3.5335 7.2528
angles (deg): 90.00 90.00 90.00
Space group P4mm (No. 99)
Symmetry-distinct sites (fractional):
Li1 0.0000 0.0000 0.0000 [1 per cell]
Y1 0.0000 0.0000 0.6117 [1 per cell]
Y2 0.5000 0.5000 0.2688 [1 per cell]
Be1 0.5000 0.5000 0.8357 [1 per cell]

Number 1 is which compound? Li2Zn8Cu3